# Li2V3F8
Computed PXRD pattern, Cu Kα. Input: a crystal structure in Alexandria, relaxed with PBE+U.

Structural model:
Cell: 6.745 6.745 8.889 Å, 90.00 90.00 123.31°
Fractional positions:
Li 0.121 0.879 0.893
Li 0.379 0.621 0.393
Li 0.621 0.379 0.607
Li 0.879 0.121 0.107
V 0.000 0.000 0.500
V 0.109 0.391 0.750
V 0.391 0.109 0.250
V 0.500 0.500 0.000
V 0.609 0.891 0.750
V 0.891 0.609 0.250
F 0.016 0.984 0.258
F 0.132 0.365 0.985
F 0.135 0.368 0.515
F 0.246 0.754 0.762
F 0.254 0.746 0.262
F 0.365 0.132 0.015
F 0.368 0.135 0.485
F 0.484 0.516 0.758
F 0.516 0.484 0.242
F 0.632 0.865 0.515
F 0.635 0.868 0.985
F 0.746 0.254 0.738
F 0.754 0.246 0.238
F 0.865 0.632 0.485
F 0.868 0.635 0.015
F 0.984 0.016 0.742

Principal peaks in the range 10° ≤ 2θ ≤ 80°, in order of rising 2θ:
- 2θ 18.0, intensity 100.0
- 2θ 18.6, intensity 34.7
- 2θ 25.0, intensity 25.3
- 2θ 28.3, intensity 19.1
- 2θ 33.4, intensity 40.9
- 2θ 33.8, intensity 14.7
- 2θ 40.6, intensity 45.7
- 2θ 41.5, intensity 75.1
- 2θ 57.6, intensity 15.2
- 2θ 59.4, intensity 46.8